Starting from DFT lattice parameters and positions (GGA-PBE), the XRD peak list of ScSnO3 was calculated for Cu Kα X-rays.
Peak positions follow from Bragg's law for the DFT cell and can differ from measured ones.

Structural model:
```
5
Lattice="4.1074 0.0000 0.0000 0.0000 4.1074 0.0000 0.0000 0.0000 4.1074" Properties=species:S:1:pos:R:3 pbc="T T T"
Sc 0.0000 0.0000 0.0000
Sn 2.0537 2.0537 2.0537
O 0.0000 0.0000 2.0537
O 0.0000 2.0537 0.0000
O 2.0537 0.0000 0.0000
```

Main lines, in order of rising 2θ (2θ from 5° to 70°):
2θ (°)	Rel. int.
21.64	17
30.79	100
37.94	27
44.10	38
49.63	10
54.74	41
64.13	23
68.54	6

***

Starting from DFT lattice parameters and positions (GGA-PBE), the XRD peak list of SrTb2Sc2O7 was calculated for Cu Kα X-rays.
Peak positions follow from Bragg's law for the DFT cell and can differ from measured ones.

Structural model:
```
12
Lattice="-2.0230 2.0230 10.1206 2.0230 -2.0230 10.1206 2.0230 2.0230 -10.1206" Properties=species:S:1:pos:R:3 pbc="T T T"
Sr 0.0000 0.0000 0.0000
Tb 0.0000 0.0000 3.7047
Tb 0.0000 0.0000 16.5365
Sc 0.0000 0.0000 8.0412
Sc 0.0000 0.0000 12.2000
O 2.0230 0.0000 2.3049
O 0.0000 0.0000 5.8357
O 2.0230 0.0000 7.8157
O 0.0000 0.0000 10.1206
O 0.0000 2.0230 2.3049
O 0.0000 0.0000 14.4056
O 0.0000 2.0230 7.8157
```

Main lines, in order of rising 2θ (2θ from 5° to 70°):
2θ (°)	Rel. int.
8.74	15
22.41	11
25.67	18
26.42	10
31.26	100
41.38	17
44.80	30
46.18	6
52.76	6
54.81	9
55.63	31
65.21	14

***

Starting from DFT lattice parameters and positions (GGA-PBE), the XRD peak list of TbScO3 was calculated for Cu Kα X-rays.
Peak positions follow from Bragg's law for the DFT cell and can differ from measured ones.

Structural model:
```
20
Lattice="5.7633 0.0000 0.0000 0.0000 7.9995 0.0000 0.0000 0.0000 5.4733" Properties=species:S:1:pos:R:3 pbc="T T T"
Tb 0.3574 1.9999 0.1087
Tb 2.5243 5.9996 2.8454
Tb 3.2390 1.9999 2.6279
Tb 5.4059 5.9996 5.3646
Sc 0.0000 0.0000 2.7367
Sc 0.0000 3.9998 2.7367
Sc 2.8817 0.0000 0.0000
Sc 2.8817 3.9998 0.0000
O 0.3176 5.9996 2.0344
O 1.1205 4.5379 4.4224
O 1.1205 7.4614 4.4224
O 1.7612 0.5382 1.6857
O 1.7612 3.4616 1.6857
O 2.5640 1.9999 4.7711
O 3.1993 5.9996 0.7023
O 4.0021 4.5379 3.7876
O 4.0021 7.4614 3.7876
O 4.6428 0.5382 1.0509
O 4.6428 3.4616 1.0509
O 5.4457 1.9999 3.4389
```

Main lines, in order of rising 2θ (2θ from 5° to 70°):
2θ (°)	Rel. int.
22.23	22
22.40	32
25.05	20
31.03	18
31.76	100
32.72	22
39.92	13
45.35	14
45.72	17
47.19	14
51.71	20
57.80	22